Diffraction record for KMoPO7. The powder diffraction line list is computed, not measured: it uses a GGA+U-relaxed structure and copper Kα.
Peak positions follow from Bragg's law for the DFT cell and can differ from measured ones.

The 10 most intense peaks (10° ≤ 2θ ≤ 90°), sorted by position:
2theta	I (rel.)	index
15.79	100	1 0 0
17.94	55	0 1 2
18.85	30	1 1 0
20.55	54	0 2 0
20.66	72	1 1 -2
25.65	38	1 2 -1
26.02	66	1 2 0
28.91	37	1 0 -4
29.66	53	0 0 4
44.92	30	1 4 0

Cell and atoms:
Lattice parameters (Å, degrees): 5.9118 8.6444 12.6884 90.00 108.29 90.00
Fractional coordinates of all 40 atoms:
K  0.0008  0.1115  0.3292
K  0.0008  0.3885  0.8292
K  0.9992  0.6115  0.1708
K  0.9992  0.8885  0.6708
Mo  0.4226  0.2427  0.6105
Mo  0.4226  0.2573  0.1105
Mo  0.5774  0.7427  0.8895
Mo  0.5774  0.7573  0.3895
P  0.4845  0.6317  0.6290
P  0.4845  0.8683  0.1290
P  0.5155  0.1317  0.8710
P  0.5155  0.3683  0.3710
O  0.1027  0.1028  0.1072
O  0.1027  0.3972  0.6072
O  0.2126  0.6484  0.5864
O  0.2126  0.8516  0.0864
O  0.2193  0.0923  0.5674
O  0.2193  0.4077  0.0674
O  0.3002  0.6535  0.8512
O  0.3002  0.8465  0.3512
O  0.3931  0.1889  0.9574
O  0.3931  0.3111  0.4574
O  0.4028  0.2413  0.7694
O  0.4028  0.2587  0.2694
O  0.4299  0.5345  0.3370
O  0.4299  0.9655  0.8370
O  0.5701  0.0345  0.1630
O  0.5701  0.4655  0.6630
O  0.5972  0.7413  0.7306
O  0.5972  0.7587  0.2306
O  0.6069  0.6889  0.5426
O  0.6069  0.8111  0.0426
O  0.6998  0.1535  0.6488
O  0.6998  0.3465  0.1488
O  0.7807  0.5923  0.9326
O  0.7807  0.9077  0.4326
O  0.7874  0.1484  0.9136
O  0.7874  0.3516  0.4136
O  0.8973  0.6028  0.3928
O  0.8973  0.8972  0.8928